Computed X-ray powder pattern
Compound: MgV4P4O20
Radiation: Cu Kα, 1.54184 Å
Structure: a structure optimized by DFT (PBE+U)

Cell and atoms:
Unit cell a=5.230 b=7.344 c=10.212 alpha=99.28 beta=104.54 gamma=109.63
Positions (direct):
Mg 0.000 0.000 0.000
V 0.000 0.000 0.500
V 0.000 0.500 0.000
V 0.218 0.269 0.269
V 0.782 0.731 0.731
P 0.125 0.439 0.703
P 0.458 0.059 0.800
P 0.542 0.941 0.200
P 0.875 0.561 0.297
O 0.028 0.782 0.384
O 0.066 0.450 0.347
O 0.111 0.320 0.083
O 0.171 0.447 0.860
O 0.192 0.975 0.847
O 0.212 0.163 0.414
O 0.349 0.062 0.171
O 0.351 0.037 0.640
O 0.364 0.719 0.118
O 0.414 0.525 0.678
O 0.586 0.475 0.322
O 0.636 0.281 0.882
O 0.649 0.963 0.360
O 0.651 0.938 0.829
O 0.788 0.837 0.586
O 0.808 0.025 0.153
O 0.829 0.553 0.140
O 0.889 0.680 0.917
O 0.934 0.550 0.653
O 0.972 0.218 0.616

Peak list (10 most intense, 10 to 90 degrees two-theta, in order of falling intensity)
2θ (°)	d_spacing	I/Imax	hkl
27.38	3.257	100	1 -2 1
27.69	3.221	57	0 1 -3
26.99	3.303	47	1 1 -2
19.07	4.653	45	1 0 0
21.89	4.060	39	1 0 -2
28.03	3.183	38	-1 2 1
19.45	4.564	29	-1 1 1
26.76	3.331	26	0 2 0
18.64	4.760	22	0 0 2
56.50	1.629	20	2 2 0